(1)
Computed XRD peak list of Mg6NiSnO8 for CuKα, from a PBE+U-relaxed structure.
Intensities are scaled so that the largest is 100.

Principal peaks in the range 15 to 90 degrees two-theta, low angle first:
index	Position (°2θ)	I (rel.)
0 0 2	20.23	23
0 0 3	30.54	35
1 1 2	35.41	41
2 0 0	41.11	100
2 2 0	59.55	60
3 1 2	71.22	21

```
Mg6NiSnO8
1.0
4.3930 0.0000 0.0000
0.0000 4.3930 0.0000
0.0000 0.0000 8.7750
Mg Ni Sn O
6 1 1 8
Direct
0.0000 0.0000 0.0000
0.0000 0.5000 0.2409
0.0000 0.5000 0.7591
0.5000 0.0000 0.2409
0.5000 0.0000 0.7591
0.5000 0.5000 0.0000
0.0000 0.0000 0.5000
0.5000 0.5000 0.5000
0.0000 0.0000 0.2403
0.0000 0.0000 0.7597
0.0000 0.5000 0.0000
0.0000 0.5000 0.5000
0.5000 0.0000 0.0000
0.5000 0.0000 0.5000
0.5000 0.5000 0.2337
0.5000 0.5000 0.7663
```

=====

(2)
Computed XRD peak list of SrMg14NiO16 for CuKα, from a PBE+U-relaxed structure.
Intensities are scaled so that the largest is 100.

Principal peaks in the range 15 to 90 degrees two-theta, low angle first:
index	Position (°2θ)	I (rel.)
2 2 1	35.83	34
0 0 2	41.15	54
4 0 0	41.84	100
4 0 2	60.13	59
4 4 0	60.66	28
4 4 2	75.93	26

```
SrMg14NiO16
1.0
8.6366 0.0000 0.0000
0.0000 8.6366 0.0000
0.0000 0.0000 4.3875
Sr Mg Ni O
1 14 1 16
Direct
0.0000 0.0000 0.0000
0.0000 0.2597 0.5000
0.0000 0.5000 0.0000
0.0000 0.7403 0.5000
0.2525 0.5000 0.5000
0.2565 0.2565 0.0000
0.2565 0.7435 0.0000
0.2597 0.0000 0.5000
0.5000 0.0000 0.0000
0.5000 0.2525 0.5000
0.5000 0.7475 0.5000
0.7403 0.0000 0.5000
0.7435 0.2565 0.0000
0.7435 0.7435 0.0000
0.7475 0.5000 0.5000
0.5000 0.5000 0.0000
0.0000 0.0000 0.5000
0.0000 0.2719 0.0000
0.0000 0.5000 0.5000
0.0000 0.7281 0.0000
0.2507 0.2507 0.5000
0.2507 0.7493 0.5000
0.2539 0.5000 0.0000
0.2719 0.0000 0.0000
0.5000 0.0000 0.5000
0.5000 0.2539 0.0000
0.5000 0.5000 0.5000
0.5000 0.7461 0.0000
0.7281 0.0000 0.0000
0.7461 0.5000 0.0000
0.7493 0.2507 0.5000
0.7493 0.7493 0.5000
```